# MgHg2F8
Computed powder diffractogram, λ = 1.5418 Å (Cu Kα). Input: a crystal structure in Alexandria, relaxed with GGA-PBE.
No peak broadening, texture or thermal motion is included.

Crystal structure
```
data_MgHg2F8
_space_group_name_H-M_alt 'P 1'
_space_group_IT_number 1
_space_group_name_Hall 'P 1'
_cell_length_a 6.658
_cell_length_b 6.658
_cell_length_c 4.363
_cell_angle_alpha 90.00
_cell_angle_beta 90.00
_cell_angle_gamma 120.00
loop_
_atom_site_label
_atom_site_type_symbol
_atom_site_fract_x
_atom_site_fract_y
_atom_site_fract_z
Mg1 Mg 0.000 0.000 0.000
Hg1 Hg 0.333 0.667 0.231
Hg2 Hg 0.667 0.333 0.769
F1 F 0.145 0.852 0.251
F2 F 0.148 0.293 0.251
F3 F 0.293 0.145 0.749
F4 F 0.333 0.667 0.734
F5 F 0.667 0.333 0.266
F6 F 0.707 0.855 0.251
F7 F 0.852 0.707 0.749
F8 F 0.855 0.148 0.749
```

Main lines, in order of falling intensity (10 to 90 degrees two-theta):
25.60 deg, I = 100
26.78 deg, I = 75
46.58 deg, I = 48
15.37 deg, I = 34
41.41 deg, I = 22
49.99 deg, I = 20
31.02 deg, I = 18
61.78 deg, I = 17



# NdZn5Pd2Au
Computed powder diffractogram, λ = 1.5418 Å (Cu Kα). Input: a crystal structure in Alexandria, relaxed with GGA-PBE.
No peak broadening, texture or thermal motion is included.

Crystal structure
```
data_NdZn5Pd2Au
_space_group_name_H-M_alt 'P 1'
_space_group_IT_number 1
_space_group_name_Hall 'P 1'
_cell_length_a 4.850
_cell_length_b 4.850
_cell_length_c 7.387
_cell_angle_alpha 90.00
_cell_angle_beta 90.00
_cell_angle_gamma 90.00
loop_
_atom_site_label
_atom_site_type_symbol
_atom_site_fract_x
_atom_site_fract_y
_atom_site_fract_z
Nd1 Nd 0.000 0.000 0.000
Zn1 Zn 0.000 0.500 0.302
Zn2 Zn 0.000 0.500 0.698
Zn3 Zn 0.500 0.000 0.302
Zn4 Zn 0.500 0.000 0.698
Zn5 Zn 0.500 0.500 0.000
Pd1 Pd 0.500 0.500 0.320
Pd2 Pd 0.500 0.500 0.680
Au1 Au 0.000 0.000 0.500
```

Main lines, in order of falling intensity (10 to 90 degrees two-theta):
37.07 deg, I = 100
30.42 deg, I = 67
35.73 deg, I = 67
48.69 deg, I = 37
25.98 deg, I = 36
53.44 deg, I = 34
53.02 deg, I = 26
11.98 deg, I = 24



# BeH2O2
Computed powder diffractogram, λ = 1.5418 Å (Cu Kα). Input: a crystal structure in Alexandria, relaxed with GGA-PBE.
No peak broadening, texture or thermal motion is included.

Crystal structure
```
data_BeH2O2
_space_group_name_H-M_alt 'P 1'
_space_group_IT_number 1
_space_group_name_Hall 'P 1'
_cell_length_a 4.513
_cell_length_b 4.656
_cell_length_c 7.015
_cell_angle_alpha 90.00
_cell_angle_beta 90.00
_cell_angle_gamma 90.00
loop_
_atom_site_label
_atom_site_type_symbol
_atom_site_fract_x
_atom_site_fract_y
_atom_site_fract_z
Be1 Be 0.043 0.192 0.127
Be2 Be 0.457 0.808 0.627
Be3 Be 0.543 0.308 0.873
Be4 Be 0.957 0.692 0.373
H1 H 0.145 0.091 0.785
H2 H 0.225 0.411 0.580
H3 H 0.275 0.589 0.080
H4 H 0.355 0.909 0.285
H5 H 0.645 0.409 0.215
H6 H 0.725 0.089 0.420
H7 H 0.775 0.911 0.920
H8 H 0.855 0.591 0.715
O1 O 0.157 0.893 0.225
O2 O 0.172 0.614 0.557
O3 O 0.328 0.386 0.057
O4 O 0.343 0.107 0.725
O5 O 0.657 0.607 0.775
O6 O 0.672 0.886 0.443
O7 O 0.828 0.114 0.943
O8 O 0.843 0.393 0.275
```

Main lines, in order of falling intensity (10 to 90 degrees two-theta):
37.80 deg, I = 100
22.93 deg, I = 85
32.32 deg, I = 54
30.38 deg, I = 50
23.44 deg, I = 49
40.85 deg, I = 35
47.98 deg, I = 30
46.56 deg, I = 28



# CuNi3Rh
Computed powder diffractogram, λ = 1.5418 Å (Cu Kα). Input: a crystal structure in Alexandria, relaxed with GGA-PBE.
No peak broadening, texture or thermal motion is included.

Crystal structure
```
data_CuNi3Rh
_space_group_name_H-M_alt 'P 1'
_space_group_IT_number 1
_space_group_name_Hall 'P 1'
_cell_length_a 6.679
_cell_length_b 6.679
_cell_length_c 7.931
_cell_angle_alpha 125.04
_cell_angle_beta 125.04
_cell_angle_gamma 66.28
loop_
_atom_site_label
_atom_site_type_symbol
_atom_site_fract_x
_atom_site_fract_y
_atom_site_fract_z
Cu1 Cu 0.115 0.885 0.750
Cu2 Cu 0.365 0.635 0.250
Cu3 Cu 0.635 0.365 0.750
Cu4 Cu 0.885 0.115 0.250
Ni1 Ni 0.023 0.778 0.352
Ni2 Ni 0.076 0.328 0.050
Ni3 Ni 0.174 0.421 0.447
Ni4 Ni 0.222 0.977 0.148
Ni5 Ni 0.328 0.076 0.550
Ni6 Ni 0.421 0.174 0.947
Ni7 Ni 0.579 0.826 0.053
Ni8 Ni 0.672 0.924 0.450
Ni9 Ni 0.778 0.023 0.852
Ni10 Ni 0.826 0.579 0.553
Ni11 Ni 0.924 0.672 0.950
Ni12 Ni 0.977 0.222 0.648
Rh1 Rh 0.269 0.525 0.845
Rh2 Rh 0.475 0.731 0.655
Rh3 Rh 0.525 0.269 0.345
Rh4 Rh 0.731 0.475 0.155
```

Main lines, in order of falling intensity (10 to 90 degrees two-theta):
43.39 deg, I = 100
49.68 deg, I = 17
49.96 deg, I = 16
51.96 deg, I = 14
89.23 deg, I = 11
73.12 deg, I = 10
74.96 deg, I = 9
88.75 deg, I = 6



Repeat the first record exactly.
# MgHg2F8
Computed powder diffractogram, λ = 1.5418 Å (Cu Kα). Input: a crystal structure in Alexandria, relaxed with GGA-PBE.
No peak broadening, texture or thermal motion is included.

Crystal structure
```
data_MgHg2F8
_space_group_name_H-M_alt 'P 1'
_space_group_IT_number 1
_space_group_name_Hall 'P 1'
_cell_length_a 6.658
_cell_length_b 6.658
_cell_length_c 4.363
_cell_angle_alpha 90.00
_cell_angle_beta 90.00
_cell_angle_gamma 120.00
loop_
_atom_site_label
_atom_site_type_symbol
_atom_site_fract_x
_atom_site_fract_y
_atom_site_fract_z
Mg1 Mg 0.000 0.000 0.000
Hg1 Hg 0.333 0.667 0.231
Hg2 Hg 0.667 0.333 0.769
F1 F 0.145 0.852 0.251
F2 F 0.148 0.293 0.251
F3 F 0.293 0.145 0.749
F4 F 0.333 0.667 0.734
F5 F 0.667 0.333 0.266
F6 F 0.707 0.855 0.251
F7 F 0.852 0.707 0.749
F8 F 0.855 0.148 0.749
```

Main lines, in order of falling intensity (10 to 90 degrees two-theta):
25.60 deg, I = 100
26.78 deg, I = 75
46.58 deg, I = 48
15.37 deg, I = 34
41.41 deg, I = 22
49.99 deg, I = 20
31.02 deg, I = 18
61.78 deg, I = 17